[1]
Tc5MoRu2: simulated powder diffraction line list (Cu Kα, 1.54184 Å), based on a structure optimized by DFT (PBE).

Crystal structure
a = 4.7891 Å, b = 5.2020 Å, c = 5.5053 Å
α = 105.33°, β = 90.06°, γ = 117.39°
Space group P1 (No. 1)
Unique sites:
Tc1 0.0000 0.0000 0.0000 x1
Tc2 0.0011 0.0094 0.5025 x1
Tc3 0.4176 0.5000 0.3751 x1
Tc4 0.4206 0.5066 0.8757 x1
Tc5 0.9184 0.4986 0.6245 x1
Mo1 0.9153 0.4947 0.1237 x1
Ru1 0.4988 0.9960 0.7466 x1
Ru2 0.5027 0.0001 0.2510 x1

Principal peaks in the range 15° ≤ 2θ ≤ 90°, in order of falling intensity:
43.02 deg, I = 100, hkl 2 -2 0; 43.11 deg, I = 98, hkl 1 0 2; 40.94 deg, I = 51, hkl 0 2 0; 37.69 deg, I = 33, hkl 1 -1 2; 76.02 deg, I = 29, hkl 2 -4 0; 67.87 deg, I = 22, hkl 3 -2 2; 82.40 deg, I = 19, hkl 3 1 -2; 56.81 deg, I = 19, hkl -1 2 2



[2]
Sc2BeOs: simulated powder diffraction line list (Cu Kα, 1.54184 Å), based on a structure optimized by DFT (PBE).

Crystal structure
a = 4.0578 Å, b = 4.0578 Å, c = 7.8040 Å
α = 90.00°, β = 90.00°, γ = 90.00°
Space group I-4m2 (No. 119)
Unique sites:
Sc1 0.0000 0.0000 0.0000 x2
Sc2 0.0000 0.5000 0.2500 x2
Be1 0.0000 0.5000 0.7500 x2
Os1 0.0000 0.0000 0.5000 x2

Principal peaks in the range 15° ≤ 2θ ≤ 90°, in order of falling intensity:
38.96 deg, I = 100, hkl 1 1 2; 24.73 deg, I = 87, hkl 1 0 1; 22.79 deg, I = 40, hkl 0 0 2; 31.17 deg, I = 37, hkl 1 1 0; 44.66 deg, I = 34, hkl 2 0 0; 51.72 deg, I = 25, hkl 2 1 1; 78.46 deg, I = 25, hkl 3 1 2; 41.22 deg, I = 24, hkl 1 0 3



[3]
BaNaNdGe3O9: simulated powder diffraction line list (Cu Kα, 1.54184 Å), based on a structure optimized by DFT (PBE).

Crystal structure
a = 5.9461 Å, b = 11.8626 Å, c = 13.0593 Å
α = 90.00°, β = 90.00°, γ = 90.00°
Space group P2_12_12_1 (No. 19)
Unique sites:
Ba1 0.1077 0.1136 0.0821 x4
Na1 0.0626 0.7785 0.1148 x4
Nd1 0.1162 0.4637 0.1421 x4
Ge1 0.0984 0.8605 0.8604 x4
Ge2 0.1009 0.5901 0.8841 x4
Ge3 0.1089 0.2040 0.8116 x4
O1 0.0003 0.4934 0.9719 x4
O2 0.0394 0.4622 0.5671 x4
O3 0.1147 0.3341 0.7377 x4
O4 0.1169 0.7321 0.9386 x4
O5 0.1244 0.1003 0.7094 x4
O6 0.1324 0.1166 0.3114 x4
O7 0.1385 0.6969 0.6173 x4
O8 0.1425 0.4366 0.3238 x4
O9 0.1446 0.8111 0.3819 x4

Principal peaks in the range 15° ≤ 2θ ≤ 90°, in order of falling intensity:
30.40 deg, I = 100, hkl 1 3 2; 27.95 deg, I = 86, hkl 1 3 1; 30.85 deg, I = 65, hkl 2 0 1; 27.32 deg, I = 59, hkl 0 0 4; 22.24 deg, I = 48, hkl 1 2 1; 26.46 deg, I = 42, hkl 1 1 3; 21.56 deg, I = 39, hkl 1 1 2; 34.14 deg, I = 37, hkl 1 3 3



[4]
HoNbPt: simulated powder diffraction line list (Cu Kα, 1.54184 Å), based on a structure optimized by DFT (PBE).

Crystal structure
a = 4.8156 Å, b = 4.8245 Å, c = 10.5629 Å
α = 90.00°, β = 90.00°, γ = 90.00°
Space group Cmmm (No. 65)
Unique sites:
Ho1 0.0000 0.0000 0.1646 x4
Nb1 0.0000 0.5000 0.3637 x4
Pt1 0.0000 0.0000 0.5000 x2
Pt2 0.0000 0.5000 0.0000 x2

Principal peaks in the range 15° ≤ 2θ ≤ 90°, in order of falling intensity:
36.70 deg, I = 100, hkl 1 1 3; 37.31 deg, I = 51, hkl 2 0 0; 66.89 deg, I = 35, hkl 3 1 3; 53.79 deg, I = 18, hkl 2 2 0; 65.68 deg, I = 15, hkl 2 0 6; 78.04 deg, I = 9, hkl 2 2 6; 16.79 deg, I = 9, hkl 0 0 2; 51.94 deg, I = 8, hkl 0 0 6



[5]
NaAgBiTe3: simulated powder diffraction line list (Cu Kα, 1.54184 Å), based on a structure optimized by DFT (PBE).

Crystal structure
a = 9.6534 Å, b = 4.3190 Å, c = 10.0495 Å
α = 90.00°, β = 113.97°, γ = 90.00°
Space group P2_1/m (No. 11)
Unique sites:
Na1 0.1783 0.2500 0.1371 x2
Ag1 0.4067 0.7500 0.4123 x2
Bi1 0.2879 0.7500 0.8100 x2
Te1 0.0554 0.2500 0.7913 x2
Te2 0.2634 0.2500 0.4813 x2
Te3 0.4385 0.7500 0.1393 x2

Principal peaks in the range 15° ≤ 2θ ≤ 90°, in order of falling intensity:
27.76 deg, I = 100, hkl 2 1 -1; 41.84 deg, I = 89, hkl 0 2 0; 28.93 deg, I = 60, hkl 2 1 0; 29.17 deg, I = 58, hkl 0 0 3; 17.79 deg, I = 55, hkl 1 0 -2; 35.52 deg, I = 54, hkl 3 1 -2; 27.32 deg, I = 34, hkl 1 1 -2; 33.15 deg, I = 34, hkl 2 1 1



[6]
Mg2Cd9In3: simulated powder diffraction line list (Cu Kα, 1.54184 Å), based on a structure optimized by DFT (PBE).

Crystal structure
a = 4.7054 Å, b = 8.4877 Å, c = 17.8649 Å
α = 90.00°, β = 90.00°, γ = 90.00°
Space group Immm (No. 71)
Unique sites:
Mg1 0.0000 0.2270 0.0000 x4
Cd1 0.0000 0.0000 0.5000 x2
Cd2 0.0000 0.1669 0.2145 x8
Cd3 0.0000 0.2622 0.3797 x8
In1 0.0000 0.5000 0.1293 x4
In2 0.0000 0.5000 0.5000 x2

Principal peaks in the range 15° ≤ 2θ ≤ 90°, in order of falling intensity:
38.07 deg, I = 100, hkl 1 2 5; 32.13 deg, I = 60, hkl 1 2 3; 38.26 deg, I = 51, hkl 2 0 0; 29.51 deg, I = 35, hkl 1 1 4; 23.20 deg, I = 23, hkl 0 2 2; 40.20 deg, I = 21, hkl 1 0 7; 37.08 deg, I = 20, hkl 1 3 0; 24.11 deg, I = 20, hkl 1 0 3



[7]
Be2PbAu: simulated powder diffraction line list (Cu Kα, 1.54184 Å), based on a structure optimized by DFT (PBE).

Crystal structure
a = 6.9645 Å, b = 4.0475 Å, c = 5.3644 Å
α = 90.00°, β = 96.97°, γ = 90.00°
Space group Cm (No. 8)
Unique sites:
Be1 0.0000 0.0000 0.0000 x2
Be2 0.1772 0.5000 0.0662 x2
Pb1 0.0700 0.0000 0.5139 x2
Au1 0.3475 0.0000 0.0924 x2

Principal peaks in the range 15° ≤ 2θ ≤ 90°, in order of falling intensity:
31.48 deg, I = 100, hkl 1 1 1; 25.50 deg, I = 86, hkl 1 1 0; 29.04 deg, I = 75, hkl 2 0 -1; 41.36 deg, I = 53, hkl 1 1 -2; 29.72 deg, I = 49, hkl 1 1 -1; 32.55 deg, I = 48, hkl 2 0 1; 33.66 deg, I = 44, hkl 0 0 2; 45.28 deg, I = 38, hkl 3 1 0



[8]
Ce2AlInAu6: simulated powder diffraction line list (Cu Kα, 1.54184 Å), based on a structure optimized by DFT (PBE).

Crystal structure
a = 5.3815 Å, b = 5.7658 Å, c = 8.1000 Å
α = 99.15°, β = 107.35°, γ = 103.12°
Space group P-1 (No. 2)
Unique sites:
Ce1 0.0736 0.2954 0.1978 x2
Al1 0.5000 0.5000 0.0000 x1
In1 0.5000 0.0000 0.5000 x1
Au1 0.0459 0.2257 0.7753 x2
Au2 0.3083 0.5488 0.6029 x2
Au3 0.4522 0.9323 0.1463 x2

Principal peaks in the range 15° ≤ 2θ ≤ 90°, in order of falling intensity:
35.43 deg, I = 100, hkl 2 -1 0; 36.44 deg, I = 87, hkl 1 1 -3; 34.78 deg, I = 75, hkl 1 0 2; 32.63 deg, I = 66, hkl 1 -2 0; 32.12 deg, I = 66, hkl 0 2 -1; 47.95 deg, I = 53, hkl 1 -2 3; 22.40 deg, I = 50, hkl 0 1 1; 42.38 deg, I = 45, hkl 1 2 0